[1]
This entry pairs a crystal structure of FeS2NO8 with its theoretical X-ray powder pattern. Radiation: copper Kα. Structure: a structure optimized by DFT (PBE+U).
Lines closer than 0.1° are merged.

Unit cell a=4.8956 b=4.8956 c=16.7167 alpha=90.00 beta=90.00 gamma=120.00
Space group P6_3 (No. 173)
Inequivalent atoms, fractional coordinates:
Fe: 0.3333 0.6667 0.0000 (multiplicity 2)
S: 0.0000 0.0000 0.3990 (multiplicity 2)
S: 0.3333 0.6667 0.6027 (multiplicity 2)
N: 0.3333 0.6667 0.2550 (multiplicity 2)
O: 0.0000 0.0000 0.3115 (multiplicity 2)
O: 0.0260 0.6197 0.5722 (multiplicity 6)
O: 0.0348 0.7320 0.9296 (multiplicity 6)
O: 0.3333 0.6667 0.6900 (multiplicity 2)

Peak list (10 most intense, 2θ = 10–90°, by angle)
2θ (°), intensity
10.58, 100
21.62, 10
23.53, 62
26.42, 48
30.02, 13
34.15, 13
36.72, 21
40.24, 9
66.12, 9
67.90, 7

=====

[2]
This entry pairs a crystal structure of Sr6MgW4O18 with its theoretical X-ray powder pattern. Radiation: copper Kα. Structure: a structure optimized by DFT (PBE+U).
Lines closer than 0.1° are merged.

Unit cell a=9.9237 b=9.9237 c=14.5554 alpha=90.00 beta=90.00 gamma=120.00
Space group R-3 (No. 148, hexagonal axes)
Inequivalent atoms, fractional coordinates:
Sr: 0.0007 0.3297 0.2515 (multiplicity 18)
Mg: 0.0000 0.0000 0.5000 (multiplicity 3)
W: 0.0000 0.0000 0.1314 (multiplicity 6)
W: 0.0000 0.0000 0.3247 (multiplicity 6)
O: 0.0037 0.8458 0.2329 (multiplicity 18)
O: 0.0046 0.8333 0.9204 (multiplicity 18)
O: 0.0090 0.1660 0.4033 (multiplicity 18)

Peak list (10 most intense, 2θ = 10–90°, by angle)
2θ (°), intensity
17.88, 84
25.68, 34
26.60, 22
31.22, 100
40.85, 34
41.43, 30
52.79, 30
55.56, 20
62.61, 23
65.13, 21

=====

[3]
This entry pairs a crystal structure of KFeS2O8 with its theoretical X-ray powder pattern. Radiation: copper Kα. Structure: a structure optimized by DFT (PBE+U).
Lines closer than 0.1° are merged.

Unit cell a=4.7610 b=4.8321 c=7.9895 alpha=85.55 beta=86.39 gamma=64.92
Space group P-1 (No. 2)
Inequivalent atoms, fractional coordinates:
K: 0.0000 0.0000 0.0000 (multiplicity 1)
Fe: 0.0000 0.0000 0.5000 (multiplicity 1)
S: 0.3717 0.3686 0.3054 (multiplicity 2)
O: 0.2377 0.2406 0.4467 (multiplicity 2)
O: 0.2603 0.7057 0.3255 (multiplicity 2)
O: 0.2772 0.7762 0.6816 (multiplicity 2)
O: 0.3035 0.3195 0.1380 (multiplicity 2)

Peak list (10 most intense, 2θ = 10–90°, by angle)
2θ (°), intensity
11.11, 100
22.04, 32
22.65, 26
23.14, 22
23.79, 27
25.58, 33
29.49, 36
30.05, 37
34.86, 24
37.50, 21

=====

[4]
This entry pairs a crystal structure of ErWBrO4 with its theoretical X-ray powder pattern. Radiation: copper Kα. Structure: a structure optimized by DFT (PBE+U).
Lines closer than 0.1° are merged.

Unit cell a=7.0178 b=7.2893 c=10.9820 alpha=102.75 beta=108.47 gamma=95.27
Space group P-1 (No. 2)
Inequivalent atoms, fractional coordinates:
Er: 0.1218 0.3366 0.2341 (multiplicity 2)
Er: 0.1624 0.1039 0.7305 (multiplicity 2)
W: 0.2264 0.8152 0.1330 (multiplicity 2)
W: 0.2671 0.5877 0.6259 (multiplicity 2)
Br: 0.2351 0.9901 0.4812 (multiplicity 2)
Br: 0.3054 0.2778 0.0148 (multiplicity 2)
O: 0.0980 0.0127 0.1884 (multiplicity 2)
O: 0.1458 0.6293 0.2009 (multiplicity 2)
O: 0.1512 0.7328 0.9545 (multiplicity 2)
O: 0.1569 0.7849 0.7050 (multiplicity 2)
O: 0.1608 0.4990 0.4452 (multiplicity 2)
O: 0.2255 0.3948 0.6983 (multiplicity 2)
O: 0.4614 0.3473 0.3296 (multiplicity 2)
O: 0.5000 0.1176 0.7957 (multiplicity 2)

Peak list (10 most intense, 2θ = 10–90°, by angle)
2θ (°), intensity
13.51, 26
24.62, 100
25.82, 50
27.21, 35
27.44, 26
29.79, 24
30.47, 30
33.23, 26
35.95, 19
50.49, 20

=====

[5]
This entry pairs a crystal structure of CaCo2Cu2O8 with its theoretical X-ray powder pattern. Radiation: copper Kα. Structure: a structure optimized by DFT (PBE+U).
Lines closer than 0.1° are merged.

Unit cell a=6.6228 b=8.7333 c=11.9655 alpha=90.00 beta=93.47 gamma=90.00
Space group P2_1/c (No. 14)
Inequivalent atoms, fractional coordinates:
Ca: 0.1363 0.1671 0.4636 (multiplicity 4)
Co: 0.0955 0.0338 0.1582 (multiplicity 4)
Co: 0.3973 0.5979 0.1332 (multiplicity 4)
Cu: 0.2588 0.6934 0.8742 (multiplicity 4)
Cu: 0.3926 0.0443 0.8632 (multiplicity 4)
O: 0.0080 0.2226 0.1219 (multiplicity 4)
O: 0.1144 0.0839 0.8826 (multiplicity 4)
O: 0.1358 0.0043 0.2971 (multiplicity 4)
O: 0.2016 0.5937 0.0179 (multiplicity 4)
O: 0.3324 0.0040 0.1022 (multiplicity 4)
O: 0.3333 0.6378 0.2794 (multiplicity 4)
O: 0.4388 0.2489 0.4020 (multiplicity 4)
O: 0.4811 0.0964 0.6338 (multiplicity 4)

Peak list (10 most intense, 2θ = 10–90°, by angle)
2θ (°), intensity
23.04, 38
24.57, 38
25.29, 32
25.80, 31
29.13, 35
29.43, 98
29.93, 100
30.27, 38
31.64, 76
32.76, 33

=====

[6]
This entry pairs a crystal structure of LiVOF2 with its theoretical X-ray powder pattern. Radiation: copper Kα. Structure: a structure optimized by DFT (PBE+U).
Lines closer than 0.1° are merged.

Unit cell a=9.7725 b=8.9420 c=5.3399 alpha=90.00 beta=98.35 gamma=90.00
Space group C2/c (No. 15)
Inequivalent atoms, fractional coordinates:
Li: 0.1921 0.0888 0.3197 (multiplicity 8)
V: 0.0000 0.2443 0.7500 (multiplicity 4)
V: 0.0000 0.4216 0.2500 (multiplicity 4)
O: 0.1037 0.4090 0.6092 (multiplicity 8)
F: 0.1112 0.2504 0.1113 (multiplicity 8)
F: 0.1229 0.0875 0.6376 (multiplicity 8)

Peak list (10 most intense, 2θ = 10–90°, by angle)
2θ (°), intensity
13.49, 50
18.35, 100
26.11, 14
29.46, 19
33.94, 16
35.15, 31
41.25, 35
43.16, 61
60.62, 23
61.84, 19